(1)
Calculated powder diffractogram
Compound: TbSm2Ta2N6
Radiation: copper Kα
Structure: DFT lattice parameters and positions (GGA-PBE)

The 12 most intense peaks (2θ from 10° to 90°), by intensity:
| two_theta | intensity |
| --- | --- |
| 32.2 | 100 |
| 31.5 | 62 |
| 56.6 | 42 |
| 45.2 | 30 |
| 57.9 | 13 |
| 74.8 | 11 |
| 39.7 | 9 |
| 65.8 | 9 |
| 67.4 | 9 |
| 75.2 | 9 |
| 18.4 | 8 |
| 48.2 | 8 |

Structure:
```
data_TbSm2Ta2N6
_chemical_formula_sum 'Tb1 Sm2 Ta2 N6'
_space_group_name_H-M_alt 'P 1'
_space_group_IT_number 1
_cell_length_a 10.030
_cell_length_b 10.030
_cell_length_c 10.030
_cell_angle_alpha 156.92
_cell_angle_beta 156.92
_cell_angle_gamma 32.87
loop_
_space_group_symop_operation_xyz
'x,y,z'
loop_
_atom_site_label
_atom_site_type_symbol
_atom_site_fract_x
_atom_site_fract_y
_atom_site_fract_z
Tb1 Tb 0.000 0.000 0.000
Sm1 Sm 0.179 0.179 0.000
Sm2 Sm 0.821 0.821 0.000
Ta1 Ta 0.401 0.401 0.000
Ta2 Ta 0.599 0.599 0.000
N1 N 0.082 0.582 0.500
N2 N 0.300 0.300 0.000
N3 N 0.418 0.918 0.500
N4 N 0.582 0.082 0.500
N5 N 0.700 0.700 0.000
N6 N 0.918 0.418 0.500
```

=====

(2)
Calculated powder diffractogram
Compound: TbGdCo2I2
Radiation: copper Kα
Structure: DFT lattice parameters and positions (GGA-PBE)

The 12 most intense peaks (2θ from 10° to 90°), by intensity:
| two_theta | intensity |
| --- | --- |
| 33.8 | 100 |
| 26.8 | 55 |
| 45.4 | 44 |
| 39.1 | 35 |
| 29.6 | 24 |
| 65.1 | 23 |
| 57.9 | 21 |
| 76.5 | 18 |
| 43.9 | 12 |
| 58.7 | 9 |
| 61.5 | 9 |
| 84.0 | 9 |

Structure:
```
data_TbGdCo2I2
_chemical_formula_sum 'Tb1 Gd1 Co2 I2'
_space_group_name_H-M_alt 'P 1'
_space_group_IT_number 1
_cell_length_a 3.992
_cell_length_b 3.992
_cell_length_c 12.362
_cell_angle_alpha 90.00
_cell_angle_beta 90.00
_cell_angle_gamma 120.00
loop_
_space_group_symop_operation_xyz
'x,y,z'
loop_
_atom_site_label
_atom_site_type_symbol
_atom_site_fract_x
_atom_site_fract_y
_atom_site_fract_z
Tb1 Tb 0.000 0.000 0.000
Gd1 Gd 0.000 0.000 0.297
Co1 Co 0.333 0.667 0.145
Co2 Co 0.667 0.333 0.152
I1 I 0.333 0.667 0.473
I2 I 0.667 0.333 0.824
```

=====

(3)
Calculated powder diffractogram
Compound: ThI3
Radiation: copper Kα
Structure: DFT lattice parameters and positions (GGA-PBE)

The 12 most intense peaks (2θ from 10° to 90°), by intensity:
| two_theta | intensity |
| --- | --- |
| 10.3 | 100 |
| 11.9 | 68 |
| 30.0 | 41 |
| 31.7 | 32 |
| 31.2 | 28 |
| 28.9 | 24 |
| 27.4 | 24 |
| 35.4 | 23 |
| 29.1 | 20 |
| 26.4 | 15 |
| 35.9 | 15 |
| 54.3 | 14 |

Structure:
```
data_ThI3
_chemical_formula_sum 'Th8 I24'
_space_group_name_H-M_alt 'P 1'
_space_group_IT_number 1
_cell_length_a 11.170
_cell_length_b 11.170
_cell_length_c 14.933
_cell_angle_alpha 90.00
_cell_angle_beta 90.00
_cell_angle_gamma 129.66
loop_
_space_group_symop_operation_xyz
'x,y,z'
loop_
_atom_site_label
_atom_site_type_symbol
_atom_site_fract_x
_atom_site_fract_y
_atom_site_fract_z
Th1 Th 0.000 0.000 0.000
Th2 Th 0.000 0.000 0.250
Th3 Th 0.000 0.000 0.500
Th4 Th 0.000 0.000 0.750
Th5 Th 0.001 0.656 0.000
Th6 Th 0.344 0.999 0.500
Th7 Th 0.656 0.001 0.500
Th8 Th 0.999 0.344 0.000
I1 I 0.000 0.500 0.179
I2 I 0.000 0.500 0.821
I3 I 0.027 0.777 0.373
I4 I 0.027 0.777 0.627
I5 I 0.222 0.315 0.129
I6 I 0.222 0.315 0.871
I7 I 0.223 0.973 0.127
I8 I 0.223 0.973 0.873
I9 I 0.300 0.686 0.500
I10 I 0.314 0.700 0.000
I11 I 0.315 0.222 0.371
I12 I 0.315 0.222 0.629
I13 I 0.500 0.000 0.321
I14 I 0.500 0.000 0.679
I15 I 0.685 0.778 0.371
I16 I 0.685 0.778 0.629
I17 I 0.686 0.300 0.000
I18 I 0.700 0.314 0.500
I19 I 0.777 0.027 0.127
I20 I 0.777 0.027 0.873
I21 I 0.778 0.685 0.129
I22 I 0.778 0.685 0.871
I23 I 0.973 0.223 0.373
I24 I 0.973 0.223 0.627
```

=====

(4)
Calculated powder diffractogram
Compound: ScAgSb2
Radiation: copper Kα
Structure: DFT lattice parameters and positions (GGA-PBE)

The 12 most intense peaks (2θ from 10° to 90°), by intensity:
| two_theta | intensity |
| --- | --- |
| 35.2 | 100 |
| 63.1 | 34 |
| 50.6 | 17 |
| 85.0 | 15 |
| 74.3 | 11 |
| 21.3 | 8 |
| 41.5 | 5 |
| 24.7 | 4 |
| 55.5 | 2 |
| 78.4 | 2 |
| 67.4 | 2 |
| 57.1 | 1 |

Structure:
```
data_ScAgSb2
_chemical_formula_sum 'Sc1 Ag1 Sb2'
_space_group_name_H-M_alt 'P 1'
_space_group_IT_number 1
_cell_length_a 5.104
_cell_length_b 5.104
_cell_length_c 5.104
_cell_angle_alpha 60.00
_cell_angle_beta 60.00
_cell_angle_gamma 60.00
loop_
_space_group_symop_operation_xyz
'x,y,z'
loop_
_atom_site_label
_atom_site_type_symbol
_atom_site_fract_x
_atom_site_fract_y
_atom_site_fract_z
Sc1 Sc 0.000 0.000 0.000
Ag1 Ag 0.250 0.250 0.250
Sb1 Sb 0.500 0.500 0.500
Sb2 Sb 0.750 0.750 0.750
```